Starting from DFT lattice parameters and positions (PBE+U), the powder diffraction line list of K2VP2O8 was computed for Cu Kα (λ = 1.5418 Å).
Kinematic intensities with the Lorentz-polarization factor, no thermal factor.

Main lines, sorted by position (5° ≤ 2θ ≤ 70°):
- 16.0°, rel. 33
- 26.6°, rel. 41
- 28.7°, rel. 100
- 30.0°, rel. 9
- 32.4°, rel. 20
- 33.7°, rel. 33
- 37.5°, rel. 8
- 44.3°, rel. 10
- 47.4°, rel. 17
- 48.3°, rel. 11
- 55.5°, rel. 10
- 58.3°, rel. 8

Cell and atoms:
Unit cell a=8.4217 b=8.4217 c=5.5273 alpha=90.00 beta=90.00 gamma=90.00
Atoms (fractional coordinates):
K 0.1719 0.3281 0.0000
K 0.3281 0.8281 0.0000
K 0.6719 0.1719 0.0000
K 0.8281 0.6719 0.0000
V 0.0000 0.0000 0.4745
V 0.5000 0.5000 0.4745
P 0.1281 0.6281 0.4867
P 0.3719 0.1281 0.4867
P 0.6281 0.8719 0.4867
P 0.8719 0.3719 0.4867
O 0.0000 0.0000 0.7699
O 0.0000 0.5000 0.3769
O 0.0755 0.7851 0.3661
O 0.1265 0.6265 0.7582
O 0.2149 0.0755 0.3661
O 0.2851 0.5755 0.3661
O 0.3735 0.1265 0.7582
O 0.4245 0.2851 0.3661
O 0.5000 0.0000 0.3769
O 0.5000 0.5000 0.7699
O 0.5755 0.7149 0.3661
O 0.6265 0.8735 0.7582
O 0.7149 0.4245 0.3661
O 0.7851 0.9245 0.3661
O 0.8735 0.3735 0.7582
O 0.9245 0.2149 0.3661